[1]
Computed powder diffraction line list
Compound: Ta5Mo3
Radiation: λ = 1.5418 Å (Cu Kα)
Structure: the GGA-PBE geometry in Alexandria
Peak positions follow from Bragg's law for the DFT cell and can differ from measured ones.

Largest 8 diffraction maxima, by angle, 2θ from 10° to 90°:
(hkl)	2θ/deg	Rel. int.
1 1 0	19.3	3
2 0 0	27.4	5
2 2 0	39.1	100
2 2 2	48.4	2
4 0 0	56.5	17
4 2 0	64.0	2
4 2 2	70.9	35
4 4 0	84.1	11

Structure:
```
data_Ta5Mo3
_chemical_formula_sum 'Ta10 Mo6'
_cell_length_a 6.510
_cell_length_b 6.510
_cell_length_c 6.510
_cell_angle_alpha 90.00
_cell_angle_beta 90.00
_cell_angle_gamma 90.00
_space_group_name_H-M_alt 'I m -3 m'
_space_group_IT_number 229
_space_group_name_Hall '-I 4 2 3'
loop_
_atom_site_label
_atom_site_type_symbol
_atom_site_fract_x
_atom_site_fract_y
_atom_site_fract_z
Ta1 Ta 0.000 0.000 0.000
Ta2 Ta 0.250 0.250 0.250
Mo1 Mo 0.000 0.000 0.500
```

[2]
Computed powder diffraction line list
Compound: NdMg2Ge2Ir
Radiation: λ = 1.5418 Å (Cu Kα)
Structure: the GGA-PBE geometry in Alexandria
Peak positions follow from Bragg's law for the DFT cell and can differ from measured ones.

Largest 8 diffraction maxima, by angle, 2θ from 10° to 90°:
(hkl)	2θ/deg	Rel. int.
0 0 2	10.6	100
0 0 4	21.2	23
1 0 1	21.9	25
1 1 0	30.3	56
0 0 6	32.1	82
2 0 0	43.4	32
1 1 6	44.7	61
2 2 0	62.9	28

Structure:
```
data_NdMg2Ge2Ir
_chemical_formula_sum 'Nd2 Mg4 Ge4 Ir2'
_cell_length_a 4.174
_cell_length_b 4.174
_cell_length_c 16.739
_cell_angle_alpha 90.00
_cell_angle_beta 90.00
_cell_angle_gamma 90.00
_space_group_name_H-M_alt 'I 4/m m m'
_space_group_IT_number 139
_space_group_name_Hall '-I 4 2'
loop_
_atom_site_label
_atom_site_type_symbol
_atom_site_fract_x
_atom_site_fract_y
_atom_site_fract_z
Nd1 Nd 0.000 0.000 0.000
Mg1 Mg 0.000 0.500 0.250
Ge1 Ge 0.000 0.000 0.357
Ir1 Ir 0.000 0.000 0.500
```

[3]
Computed powder diffraction line list
Compound: CsHfTe2
Radiation: λ = 1.5418 Å (Cu Kα)
Structure: the GGA-PBE geometry in Alexandria
Peak positions follow from Bragg's law for the DFT cell and can differ from measured ones.

Largest 8 diffraction maxima, by angle, 2θ from 10° to 90°:
(hkl)	2θ/deg	Rel. int.
1 0 1	12.1	67
1 1 2	24.1	81
2 1 0	26.3	53
2 0 3	28.8	100
2 1 3	33.6	43
0 2 0	34.4	60
2 2 3	45.4	57
4 1 3	49.3	35

Structure:
```
data_CsHfTe2
_chemical_formula_sum 'Cs4 Hf4 Te8'
_cell_length_a 8.893
_cell_length_b 5.216
_cell_length_c 12.984
_cell_angle_alpha 90.00
_cell_angle_beta 90.00
_cell_angle_gamma 90.00
_space_group_name_H-M_alt 'P n m a'
_space_group_IT_number 62
loop_
_space_group_symop_operation_xyz
'x,y,z'
'-x,-y,-z'
'-x+1/2,-y,z+1/2'
'x+1/2,y,-z+1/2'
'x+1/2,-y+1/2,-z+1/2'
'-x+1/2,y+1/2,z+1/2'
'-x,y+1/2,-z'
'x,-y+1/2,z'
loop_
_atom_site_label
_atom_site_type_symbol
_atom_site_fract_x
_atom_site_fract_y
_atom_site_fract_z
Cs1 Cs 0.114 0.250 0.125
Hf1 Hf 0.045 0.750 0.403
Te1 Te 0.148 0.250 0.760
Te2 Te 0.170 0.250 0.435
```

[4]
Computed powder diffraction line list
Compound: ErTm5Te4
Radiation: λ = 1.5418 Å (Cu Kα)
Structure: the GGA-PBE geometry in Alexandria
Peak positions follow from Bragg's law for the DFT cell and can differ from measured ones.

Largest 8 diffraction maxima, by angle, 2θ from 10° to 90°:
(hkl)	2θ/deg	Rel. int.
2 0 1	22.9	44
2 1 1	24.8	32
0 3 1	30.7	100
3 0 1	31.9	34
2 2 2	36.5	60
3 2 1	37.2	37
1 0 3	37.7	25
2 1 3	42.7	25

Structure:
```
data_ErTm5Te4
_chemical_formula_sum 'Er2 Tm10 Te8'
_cell_length_a 9.093
_cell_length_b 9.492
_cell_length_c 7.428
_cell_angle_alpha 90.00
_cell_angle_beta 90.00
_cell_angle_gamma 90.00
_space_group_name_H-M_alt 'P m m n'
_space_group_IT_number 59
loop_
_space_group_symop_operation_xyz
'x,y,z'
'-x,-y,-z'
'-x+1/2,-y+1/2,z'
'x+1/2,y+1/2,-z'
'x+1/2,-y,-z'
'-x+1/2,y,z'
'-x,y+1/2,-z'
'x,-y+1/2,z'
loop_
_atom_site_label
_atom_site_type_symbol
_atom_site_fract_x
_atom_site_fract_y
_atom_site_fract_z
Er1 Er 0.250 0.250 0.140
Tm1 Tm 0.062 0.062 0.771
Tm2 Tm 0.250 0.750 0.781
Te1 Te 0.020 0.250 0.442
Te2 Te 0.250 0.555 0.096
```

[5]
Computed powder diffraction line list
Compound: PrSm2S4
Radiation: λ = 1.5418 Å (Cu Kα)
Structure: the GGA-PBE geometry in Alexandria
Peak positions follow from Bragg's law for the DFT cell and can differ from measured ones.

Largest 8 diffraction maxima, by angle, 2θ from 10° to 90°:
(hkl)	2θ/deg	Rel. int.
0 2 3	23.9	100
1 1 1	24.5	27
0 4 0	26.8	25
1 1 2	27.1	25
1 3 1	31.1	38
1 3 2	33.2	52
1 1 5	41.2	31
0 6 3	45.6	40

Structure:
```
data_PrSm2S4
_chemical_formula_sum 'Pr4 Sm8 S16'
_cell_length_a 3.938
_cell_length_b 13.321
_cell_length_c 13.436
_cell_angle_alpha 90.00
_cell_angle_beta 90.00
_cell_angle_gamma 90.00
_space_group_name_H-M_alt 'C m c m'
_space_group_IT_number 63
_space_group_name_Hall '-C 2c 2'
loop_
_atom_site_label
_atom_site_type_symbol
_atom_site_fract_x
_atom_site_fract_y
_atom_site_fract_z
Pr1 Pr 0.000 0.125 0.250
Sm1 Sm 0.000 0.370 0.069
S1 S 0.000 0.000 0.000
S2 S 0.000 0.275 0.621
S3 S 0.000 0.469 0.250
```

[6]
Computed powder diffraction line list
Compound: Na2PaSb3Pt4
Radiation: λ = 1.5418 Å (Cu Kα)
Structure: the GGA-PBE geometry in Alexandria
Peak positions follow from Bragg's law for the DFT cell and can differ from measured ones.

Largest 8 diffraction maxima, by angle, 2θ from 10° to 90°:
(hkl)	2θ/deg	Rel. int.
0 0 2	15.8	65
1 0 1	20.9	70
1 1 2	31.8	96
2 0 0	39.2	75
1 1 4	42.6	100
2 2 0	56.6	26
3 1 2	66.4	24
3 1 4	73.3	41

Structure:
```
data_Na2PaSb3Pt4
_chemical_formula_sum 'Na2 Pa1 Sb3 Pt4'
_cell_length_a 4.601
_cell_length_b 4.601
_cell_length_c 11.203
_cell_angle_alpha 90.00
_cell_angle_beta 90.00
_cell_angle_gamma 90.00
_space_group_name_H-M_alt 'P -4 m 2'
_space_group_IT_number 115
loop_
_space_group_symop_operation_xyz
'x,y,z'
'y,-x,-z'
'-x,-y,z'
'-y,x,-z'
'-x,y,z'
'-y,-x,-z'
'x,-y,z'
'y,x,-z'
loop_
_atom_site_label
_atom_site_type_symbol
_atom_site_fract_x
_atom_site_fract_y
_atom_site_fract_z
Na1 Na 0.000 0.500 0.216
Pa1 Pa 0.000 0.000 0.500
Sb1 Sb 0.000 0.500 0.875
Sb2 Sb 0.500 0.500 0.500
Pt1 Pt 0.000 0.000 0.000
Pt2 Pt 0.000 0.500 0.641
Pt3 Pt 0.500 0.500 0.000
```

[7]
Computed powder diffraction line list
Compound: CdHgGe
Radiation: λ = 1.5418 Å (Cu Kα)
Structure: the GGA-PBE geometry in Alexandria
Peak positions follow from Bragg's law for the DFT cell and can differ from measured ones.

Largest 8 diffraction maxima, by angle, 2θ from 10° to 90°:
(hkl)	2θ/deg	Rel. int.
0 0 1	11.1	26
0 0 3	33.7	33
1 0 1	35.0	100
0 1 2	40.2	65
1 0 4	57.4	25
1 1 0	59.1	20
1 1 3	69.8	24
0 2 1	70.5	13

Structure:
```
data_CdHgGe
_chemical_formula_sum 'Cd1 Hg1 Ge1'
_cell_length_a 3.1285
_cell_length_b 3.1285
_cell_length_c 7.9718
_cell_angle_alpha 90.00
_cell_angle_beta 90.00
_cell_angle_gamma 120.00
_space_group_name_H-M_alt 'P 3 m 1'
_space_group_IT_number 156
loop_
_space_group_symop_operation_xyz
'x,y,z'
'-y,x-y,z'
'-x+y,-x,z'
'-y,-x,z'
'-x+y,y,z'
'x,x-y,z'
loop_
_atom_site_label
_atom_site_type_symbol
_atom_site_fract_x
_atom_site_fract_y
_atom_site_fract_z
Cd1 Cd 0.0000 0.0000 0.0000
Hg1 Hg 0.3333 0.6667 0.6545
Ge1 Ge 0.6667 0.3333 0.3161
```

[8]
Computed powder diffraction line list
Compound: NpAg2I5
Radiation: λ = 1.5418 Å (Cu Kα)
Structure: the GGA-PBE geometry in Alexandria
Peak positions follow from Bragg's law for the DFT cell and can differ from measured ones.

Largest 8 diffraction maxima, by angle, 2θ from 10° to 90°:
(hkl)	2θ/deg	Rel. int.
0 0 1	12.3	48
0 1 0	12.5	51
1 1 1	14.3	100
1 0 1	15.2	38
1 1 0	15.2	31
-1 1 1	24.7	93
2 1 2	26.8	30
2 2 0	30.7	42

Structure:
```
data_NpAg2I5
_chemical_formula_sum 'Np1 Ag2 I5'
_cell_length_a 7.705
_cell_length_b 8.071
_cell_length_c 8.178
_cell_angle_alpha 66.95
_cell_angle_beta 65.57
_cell_angle_gamma 65.22
_space_group_name_H-M_alt 'P 1'
_space_group_IT_number 1
loop_
_space_group_symop_operation_xyz
'x,y,z'
loop_
_atom_site_label
_atom_site_type_symbol
_atom_site_fract_x
_atom_site_fract_y
_atom_site_fract_z
Np1 Np 0.000 0.000 0.000
Ag1 Ag 0.457 0.635 0.093
Ag2 Ag 0.460 0.088 0.638
I1 I 0.106 0.357 0.780
I2 I 0.129 0.819 0.346
I3 I 0.362 0.744 0.756
I4 I 0.640 0.254 0.259
I5 I 0.711 0.910 0.902
```

[9]
Computed powder diffraction line list
Compound: MgSe5
Radiation: λ = 1.5418 Å (Cu Kα)
Structure: the GGA-PBE geometry in Alexandria
Peak positions follow from Bragg's law for the DFT cell and can differ from measured ones.

Largest 8 diffraction maxima, by angle, 2θ from 10° to 90°:
(hkl)	2θ/deg	Rel. int.
0 0 1	11.7	100
2 0 -1	14.6	78
2 0 -2	22.6	83
0 0 2	23.6	60
1 1 -1	25.6	74
3 1 0	31.3	85
5 1 -1	40.5	49
1 1 3	45.8	61

Structure:
```
data_MgSe5
_chemical_formula_sum 'Mg2 Se10'
_cell_length_a 13.619
_cell_length_b 3.878
_cell_length_c 8.105
_cell_angle_alpha 90.00
_cell_angle_beta 111.63
_cell_angle_gamma 90.00
_space_group_name_H-M_alt 'C 1 m 1'
_space_group_IT_number 8
loop_
_space_group_symop_operation_xyz
'x,y,z'
'x,-y,z'
'x+1/2,y+1/2,z'
'x+1/2,-y+1/2,z'
loop_
_atom_site_label
_atom_site_type_symbol
_atom_site_fract_x
_atom_site_fract_y
_atom_site_fract_z
Mg1 Mg 0.000 0.000 0.000
Se1 Se 0.031 0.000 0.702
Se2 Se 0.088 0.500 0.224
Se3 Se 0.166 0.500 0.807
Se4 Se 0.327 0.000 0.915
Se5 Se 0.414 0.000 0.234
```